[1]
The following is a theoretical PXRD pattern of YUAl4. It was derived from the GGA-PBE geometry in the Materials Project, using λ = 1.5418 Å (Cu Kα).
Lines closer than 0.1° are merged.

Atomic structure:
```
YUAl4
1.0
0.0000 3.9140 3.9140
3.9140 0.0000 3.9140
3.9140 3.9140 0.0000
Y U Al
1 1 4
Direct
0.0000 0.0000 0.0000 Y
0.7500 0.7500 0.7500 U
0.3755 0.3755 0.3755 Al
0.3755 0.3755 0.8734 Al
0.3755 0.8734 0.3755 Al
0.8734 0.3755 0.3755 Al
```

Peak list (10 most intense, 2θ from 5° to 70°, by angle)
2θ/deg, I/Imax
19.64, 74.2
22.72, 18.6
32.35, 90.2
38.13, 100.0
39.89, 10.3
50.84, 19.9
52.26, 9.3
57.69, 35.3
61.56, 33.5
67.71, 19.5



[2]
The following is a theoretical PXRD pattern of ZrUAl4. It was derived from the GGA-PBE geometry in the Materials Project, using λ = 1.5418 Å (Cu Kα).
Lines closer than 0.1° are merged.

Atomic structure:
```
ZrUAl4
1.0
0.0000 3.8485 3.8485
3.8485 0.0000 3.8485
3.8485 3.8485 0.0000
Zr U Al
1 1 4
Direct
0.0000 0.0000 0.0000 Zr
0.7500 0.7500 0.7500 U
0.3751 0.3751 0.3751 Al
0.3751 0.3751 0.8746 Al
0.3751 0.8746 0.3751 Al
0.8746 0.3751 0.3751 Al
```

Peak list (10 most intense, 2θ from 5° to 70°, by angle)
2θ/deg, I/Imax
19.98, 74.8
23.11, 18.1
32.91, 91.2
38.80, 100.0
40.60, 10.0
51.77, 19.9
53.22, 8.9
58.77, 35.4
62.72, 33.3
69.02, 19.5



[3]
The following is a theoretical PXRD pattern of ZrUAl6. It was derived from the GGA-PBE geometry in the Materials Project, using λ = 1.5418 Å (Cu Kα).
Lines closer than 0.1° are merged.

Atomic structure:
```
ZrUAl6
1.0
4.1746 0.0000 0.0000
0.0000 4.1746 0.0000
0.0000 0.0000 8.3369
Zr U Al
1 1 6
Direct
0.0000 0.0000 0.0000 Zr
0.0000 0.0000 0.5000 U
0.0000 0.5000 0.2486 Al
0.0000 0.5000 0.7514 Al
0.5000 0.0000 0.2486 Al
0.5000 0.0000 0.7514 Al
0.5000 0.5000 0.0000 Al
0.5000 0.5000 0.5000 Al
```

Peak list (10 most intense, 2θ from 5° to 70°, by angle)
2θ/deg, I/Imax
10.61, 33.1
21.29, 92.5
23.84, 23.0
30.29, 79.1
37.33, 100.0
43.37, 49.0
48.80, 43.3
53.82, 32.6
63.01, 32.6
67.32, 19.8



[4]
The following is a theoretical PXRD pattern of Al8V5. It was derived from the GGA-PBE geometry in the Materials Project, using λ = 1.5418 Å (Cu Kα).
Lines closer than 0.1° are merged.

Atomic structure:
```
Al8V5
1.0
4.5657 -6.5425 0.0000
4.5657 6.5425 0.0000
-4.4555 0.0000 6.5556
Al V
16 10
Direct
0.0000 0.0000 0.0000 Al
0.0081 0.6535 0.7557 Al
0.0098 0.0098 0.4003 Al
0.0122 0.2722 0.7538 Al
0.0427 0.3972 0.1371 Al
0.2722 0.0122 0.7538 Al
0.2994 0.2994 0.4009 Al
0.3007 0.6499 0.6670 Al
0.3081 0.8986 0.3899 Al
0.3972 0.0427 0.1371 Al
0.4074 0.4074 0.8151 Al
0.6480 0.9176 0.0504 Al
0.6499 0.3007 0.6670 Al
0.6535 0.0081 0.7557 Al
0.8986 0.3081 0.3899 Al
0.9176 0.6480 0.0504 Al
0.3099 0.6515 0.0479 V
0.3151 0.3151 0.0696 V
0.4534 0.6516 0.4056 V
0.6515 0.3099 0.0479 V
0.6516 0.4534 0.4056 V
0.6528 0.6528 0.7361 V
0.6625 0.6625 0.2066 V
0.6647 0.9970 0.4098 V
0.8636 0.8636 0.6068 V
0.9970 0.6647 0.4098 V
```

Peak list (10 most intense, 2θ from 5° to 70°, by angle)
2θ/deg, I/Imax
13.53, 54.2
13.70, 37.4
41.29, 79.7
41.43, 100.0
41.52, 21.3
41.68, 15.1
41.93, 76.7
42.14, 9.8
45.78, 9.3
46.16, 10.6



[5]
The following is a theoretical PXRD pattern of AlV. It was derived from the GGA-PBE geometry in the Materials Project, using λ = 1.5418 Å (Cu Kα).
Lines closer than 0.1° are merged.

Atomic structure:
```
AlV
1.0
1.7835 -1.9803 0.0000
1.7835 1.9803 0.0000
0.0000 0.0000 4.0479
Al V
1 1
Direct
0.0000 0.0000 0.0000 Al
0.5000 0.5000 0.5000 V
```

Peak list (10 most intense, 2θ from 5° to 70°, by angle)
2θ/deg, I/Imax
21.96, 12.1
33.82, 7.8
40.69, 100.0
44.78, 18.6
45.82, 17.3
51.22, 12.2
51.36, 2.0
56.37, 1.4
57.27, 2.6
66.00, 10.8